Theoretical powder XRD pattern
Compound: Ti3Mn2NiP6O24
Radiation: Cu Kα (weighted mean of Kα1 and Kα2)
Structure: a crystal structure in Alexandria, relaxed with PBE+U
Lines closer than 0.1° are merged.

Principal peaks in the range 2θ from 10° to 90°, by angle:
d (Å)  2θ (°)  Rel. int.  index
4.321  20.55  78  1 1 0
3.684  24.16  100  2 -1 3
3.528  25.25  15  2 0 2
2.804  31.92  16  3 -1 1
2.730  32.80  72  2 -1 6
2.495  36.00  34  3 0 0
1.931  47.06  27  1 2 8
1.842  49.49  27  2 2 6
1.633  56.34  35  1 4 0
1.482  62.70  19  4 1 6

Crystal structure
a = 8.6429 Å, b = 8.6429 Å, c = 21.1339 Å
α = 90.00°, β = 90.00°, γ = 120.00°
Space group R3 (No. 146, hexagonal axes)
Unique sites:
Ti1 0.0000 0.0000 0.0000 [3 per cell]
Ti2 0.0000 0.0000 0.2101 [3 per cell]
Ti3 0.0000 0.0000 0.7067 [3 per cell]
Mn1 0.0000 0.0000 0.3569 [3 per cell]
Mn2 0.0000 0.0000 0.8552 [3 per cell]
Ni1 0.0000 0.0000 0.4965 [3 per cell]
P1 0.0406 0.3734 0.2684 [9 per cell]
P2 0.0420 0.6694 0.7708 [9 per cell]
O1 0.0005 0.1875 0.6622 [9 per cell]
O2 0.0094 0.2072 0.5416 [9 per cell]
O3 0.0218 0.8380 0.7762 [9 per cell]
O4 0.0264 0.1862 0.2760 [9 per cell]
O5 0.1457 0.6690 0.8309 [9 per cell]
O6 0.1589 0.6878 0.7127 [9 per cell]
O7 0.1611 0.4888 0.6030 [9 per cell]
O8 0.1669 0.6954 0.0954 [9 per cell]